No. 1
This entry pairs a crystal structure of NpU2Tc with its calculated X-ray powder pattern. Radiation: a wavelength of 1.5418 Å. Structure: a PBE-relaxed structure.
Lines closer than 0.1° are merged.

Structural model:
abc: 5.0568 5.0568 5.0568
angles: 51.83 51.83 51.83
Fractional coordinates of all 4 atoms:
Np1 0.0000 0.0000 0.0000
U1 0.2633 0.2633 0.2633
U2 0.7367 0.7367 0.7367
Tc1 0.5000 0.5000 0.5000

Most intense lines, 10° ≤ 2θ ≤ 80°, sorted by position:
d 4.366, intensity 14
d 2.488, intensity 100
d 2.210, intensity 76
d 1.972, intensity 11
d 1.681, intensity 8
d 1.652, intensity 30
d 1.505, intensity 18
d 1.323, intensity 29
d 1.276, intensity 14
d 1.244, intensity 10


No. 2
This entry pairs a crystal structure of Li2Zn2Sn with its calculated X-ray powder pattern. Radiation: a wavelength of 1.5418 Å. Structure: a PBE-relaxed structure.
Lines closer than 0.1° are merged.

Structural model:
abc: 5.4993 5.4993 7.3740
angles: 108.12 108.12 56.14
Fractional coordinates of all 10 atoms:
Li1 0.0431 0.3406 0.1476
Li2 0.3406 0.0431 0.6476
Li3 0.6594 0.9569 0.3524
Li4 0.9569 0.6594 0.8524
Zn1 0.2005 0.5787 0.5532
Zn2 0.4213 0.7995 0.9468
Zn3 0.5787 0.2005 0.0532
Zn4 0.7995 0.4213 0.4468
Sn1 0.2169 0.7831 0.2500
Sn2 0.7831 0.2169 0.7500

Most intense lines, 10° ≤ 2θ ≤ 80°, sorted by position:
d 4.541, intensity 73
d 3.499, intensity 100
d 3.381, intensity 59
d 2.588, intensity 43
d 2.306, intensity 47
d 2.257, intensity 30
d 2.230, intensity 79
d 2.210, intensity 77
d 1.810, intensity 23
d 1.722, intensity 24


No. 3
This entry pairs a crystal structure of Cr2Ge2Au with its calculated X-ray powder pattern. Radiation: a wavelength of 1.5418 Å. Structure: a PBE-relaxed structure.
Lines closer than 0.1° are merged.

Structural model:
abc: 7.3197 7.3197 2.8666
angles: 90.00 90.00 90.00
Fractional coordinates of all 10 atoms:
Cr1 0.1405 0.3595 0.0000
Cr2 0.3595 0.8595 0.0000
Cr3 0.6405 0.1405 0.0000
Cr4 0.8595 0.6405 0.0000
Ge1 0.1568 0.6568 0.5000
Ge2 0.3432 0.1568 0.5000
Ge3 0.6568 0.8432 0.5000
Ge4 0.8432 0.3432 0.5000
Au1 0.0000 0.0000 0.5000
Au2 0.5000 0.5000 0.5000

Most intense lines, 10° ≤ 2θ ≤ 80°, sorted by position:
d 5.176, intensity 35
d 2.867, intensity 22
d 2.588, intensity 30
d 2.508, intensity 42
d 2.315, intensity 100
d 2.257, intensity 21
d 2.157, intensity 54
d 1.921, intensity 24
d 1.801, intensity 40
d 1.219, intensity 25


No. 4
This entry pairs a crystal structure of CaTlSnHIr with its calculated X-ray powder pattern. Radiation: a wavelength of 1.5418 Å. Structure: a PBE-relaxed structure.
Lines closer than 0.1° are merged.

Structural model:
abc: 3.5086 6.6089 6.6089
angles: 43.16 90.00 90.00
Fractional coordinates of all 5 atoms:
Ca1 0.0000 0.0000 0.0000
Tl1 0.5000 0.6894 0.6894
Sn1 0.0000 0.2874 0.2874
H1 0.0000 0.5017 0.5017
Ir1 0.5000 0.4601 0.4601

Most intense lines, 10° ≤ 2θ ≤ 80°, sorted by position:
d 4.521, intensity 72
d 3.133, intensity 20
d 3.073, intensity 28
d 2.772, intensity 100
d 2.431, intensity 39
d 2.337, intensity 45
d 2.312, intensity 46
d 2.194, intensity 35
d 1.675, intensity 35
d 1.370, intensity 16


No. 5
This entry pairs a crystal structure of Tl2AgHg8 with its calculated X-ray powder pattern. Radiation: a wavelength of 1.5418 Å. Structure: a PBE-relaxed structure.
Lines closer than 0.1° are merged.

Structural model:
abc: 4.8895 4.8895 12.7003
angles: 90.00 90.00 90.00
Fractional coordinates of all 11 atoms:
Tl1 0.0000 0.0000 0.1883
Tl2 0.0000 0.0000 0.8117
Ag1 0.0000 0.0000 0.5000
Hg1 0.0000 0.5000 0.0000
Hg2 0.0000 0.5000 0.3704
Hg3 0.0000 0.5000 0.6296
Hg4 0.5000 0.0000 0.0000
Hg5 0.5000 0.0000 0.3704
Hg6 0.5000 0.0000 0.6296
Hg7 0.5000 0.5000 0.1856
Hg8 0.5000 0.5000 0.8144

Most intense lines, 10° ≤ 2θ ≤ 80°, sorted by position:
d 3.037, intensity 26
d 2.678, intensity 100
d 2.540, intensity 14
d 2.445, intensity 50
d 1.761, intensity 19
d 1.729, intensity 18
d 1.600, intensity 9
d 1.452, intensity 31
d 1.443, intensity 15
d 1.429, intensity 10


No. 6
This entry pairs a crystal structure of LaGa4Co4 with its calculated X-ray powder pattern. Radiation: a wavelength of 1.5418 Å. Structure: a PBE-relaxed structure.
Lines closer than 0.1° are merged.

Structural model:
abc: 5.6320 5.6320 8.6370
angles: 90.00 90.00 90.00
Fractional coordinates of all 18 atoms:
La1 0.2500 0.7500 0.2500
La2 0.7500 0.2500 0.7500
Ga1 0.0298 0.2500 0.0580
Ga2 0.2500 0.0298 0.5581
Ga3 0.2500 0.4702 0.5581
Ga4 0.4702 0.2500 0.0580
Ga5 0.5298 0.7500 0.9420
Ga6 0.7500 0.5298 0.4420
Ga7 0.7500 0.9702 0.4420
Ga8 0.9702 0.7500 0.9420
Co1 0.0318 0.2500 0.3425
Co2 0.2500 0.0318 0.8425
Co3 0.2500 0.4682 0.8425
Co4 0.4682 0.2500 0.3425
Co5 0.5318 0.7500 0.6575
Co6 0.7500 0.5318 0.1575
Co7 0.7500 0.9682 0.1575
Co8 0.9682 0.7500 0.6575

Most intense lines, 10° ≤ 2θ ≤ 80°, sorted by position:
d 2.928, intensity 22
d 2.677, intensity 12
d 2.563, intensity 41
d 2.418, intensity 100
d 2.014, intensity 63
d 1.991, intensity 19
d 1.808, intensity 13
d 1.573, intensity 18
d 1.408, intensity 16
d 1.266, intensity 15